Diffraction record for CaAl2H8. The X-ray powder pattern is theoretical, not measured: it uses a GGA-PBE-relaxed structure and a wavelength of 1.5418 Å.
No peak broadening, texture or thermal motion is included.

Cell and atoms:
abc: 10.3753 10.3753 3.6000
angles: 90.00 90.00 120.00
Space group P-62m (No. 189)
Asymmetric unit:
Ca1 0.0000 0.0000 0.0000 [1 per cell]
Ca2 0.3333 0.6667 0.5000 [2 per cell]
Al1 0.0000 0.2818 0.5000 [3 per cell]
Al2 0.0000 0.6110 0.0000 [3 per cell]
H1 0.0000 0.1240 0.5000 [3 per cell]
H2 0.0000 0.2708 0.0000 [3 per cell]
H3 0.0000 0.5914 0.5000 [3 per cell]
H4 0.0000 0.7672 0.0000 [3 per cell]
H5 0.1595 0.4312 0.5000 [6 per cell]
H6 0.1664 0.6206 0.0000 [6 per cell]

Largest 6 diffraction maxima, low angle first, 2θ = 5–70°:
(2 1 0), 26.24 deg, I = 29.2
(3 0 0), 29.83 deg, I = 100.0
(1 1 1), 30.22 deg, I = 61.0
(2 0 1), 31.85 deg, I = 58.0
(2 1 1), 36.37 deg, I = 32.8
(3 2 1), 51.06 deg, I = 38.7

Diffraction record for CaCuH4C4O8. The X-ray powder pattern is theoretical, not measured: it uses a GGA-PBE-relaxed structure and a wavelength of 1.5418 Å.
No peak broadening, texture or thermal motion is included.

Cell and atoms:
abc: 7.4975 8.5811 6.6706
angles: 90.00 99.48 90.00
Space group P2/c (No. 13)
Asymmetric unit:
Ca1 0.0000 0.1364 0.2500 [2 per cell]
Cu1 0.5000 0.4010 0.2500 [2 per cell]
H1 0.1637 0.4379 0.7656 [4 per cell]
H2 0.4143 0.1509 0.9108 [4 per cell]
C1 0.2001 0.3972 0.6202 [4 per cell]
C2 0.3088 0.1427 0.0089 [4 per cell]
O1 0.0900 0.3150 0.5048 [4 per cell]
O2 0.1853 0.0420 0.9720 [4 per cell]
O3 0.3160 0.2369 0.1585 [4 per cell]
O4 0.3561 0.4388 0.5821 [4 per cell]

Largest 6 diffraction maxima, low angle first, 2θ = 5–70°:
(1 1 0), 15.82 deg, I = 92.5
(0 1 1), 16.98 deg, I = 65.0
(2 1 -1), 27.68 deg, I = 34.4
(1 2 1), 28.58 deg, I = 100.0
(1 1 -2), 29.73 deg, I = 37.7
(2 0 -2), 33.34 deg, I = 27.2